# 1
Starting from a cell relaxed with PBE, the powder XRD pattern of C was calculated for Cu Ka.

a b c (Å): 4.379 4.379 2.515
angles (deg): 90.00 90.00 90.00
Space group I4/mmm (No. 139)
Unique sites:
C 0.180 0.180 0.000 x8

Principal peaks in the range 2θ from 10° to 90°, in order of rising 2θ:
28.8 deg, rel. 287, hkl 1 1 0; 41.2 deg, rel. 1000, hkl 2 0 0; 41.4 deg, rel. 863, hkl 1 0 1; 59.9 deg, rel. 163, hkl 2 1 1; 75.3 deg, rel. 456, hkl 3 0 1; 75.6 deg, rel. 120, hkl 0 0 2; 89.6 deg, rel. 245, hkl 3 2 1; 90.0 deg, rel. 130, hkl 2 0 2



# 2
Starting from a cell relaxed with PBE, the powder XRD pattern of C was calculated for Cu Ka.

a b c (Å): 4.477 4.477 4.477
angles (deg): 90.00 90.00 90.00
Space group Ia-3 (No. 206)
Unique sites:
C 0.094 0.094 0.094 x16

Principal peaks in the range 2θ from 10° to 90°, in order of rising 2θ:
40.3 deg, rel. 454, hkl 2 0 0; 49.9 deg, rel. 1000, hkl 2 1 1; 58.3 deg, rel. 30, hkl 2 2 0; 80.2 deg, rel. 560, hkl 3 2 1; 87.1 deg, rel. 102, hkl 4 0 0



# 3
Starting from a cell relaxed with PBE, the powder XRD pattern of C was calculated for Cu Ka.

a b c (Å): 10.491 2.464 10.564
angles (deg): 90.00 119.13 90.00
Space group P2_1/m (No. 11)
Unique sites:
C 0.032 0.250 0.189 x2
C 0.109 0.750 0.239 x2
C 0.123 0.750 0.870 x2
C 0.194 0.250 0.875 x2
C 0.246 0.750 0.372 x2
C 0.298 0.250 0.448 x2
C 0.307 0.250 0.836 x2
C 0.344 0.750 0.794 x2
C 0.364 0.250 0.603 x2
C 0.373 0.750 0.675 x2

Principal peaks in the range 2θ from 10° to 90°, in order of rising 2θ:
16.6 deg, rel. 1000, hkl 1 0 1; 16.8 deg, rel. 918, hkl 1 0 -2; 16.9 deg, rel. 930, hkl 2 0 -1; 19.2 deg, rel. 306, hkl 0 0 2; 19.4 deg, rel. 320, hkl 2 0 0; 19.6 deg, rel. 251, hkl 2 0 -2; 25.5 deg, rel. 157, hkl 1 0 2; 25.9 deg, rel. 173, hkl 3 0 -1